Starting from a structure optimized by DFT (GGA-PBE), the PXRD pattern of NpGa3 was calculated for Cu Ka.
Lines closer than 0.1° are merged.

Cell and atoms:
```
4
Lattice="4.266 0.000 0.000 0.000 4.266 0.000 0.000 0.000 4.266" Properties=species:S:1:pos:R:3 pbc="T T T"
Np 0.000 0.000 0.000
Ga 0.000 2.133 2.133
Ga 2.133 0.000 2.133
Ga 2.133 2.133 0.000
```

Top 10 peaks for 15 to 90 degrees two-theta, most intense first:
- d 2.463, I = 100
- d 2.133, I = 49
- d 1.286, I = 38
- d 4.266, I = 36
- d 1.508, I = 33
- d 3.016, I = 31
- d 1.908, I = 18
- d 1.742, I = 14
- d 1.231, I = 11
- d 1.422, I = 9



Starting from a structure optimized by DFT (GGA-PBE), the PXRD pattern of Ba2CeHfO6 was calculated for Cu Ka.
Lines closer than 0.1° are merged.

Cell and atoms:
```
10
Lattice="0.000 4.339 4.339 4.339 0.000 4.339 4.339 4.339 0.000" Properties=species:S:1:pos:R:3 pbc="T T T"
Ba 2.169 2.169 2.169
Ba 6.508 6.508 6.508
Ce 0.000 0.000 0.000
Hf 4.339 4.339 4.339
O 4.339 4.339 2.246
O 4.339 2.246 4.339
O 6.432 4.339 4.339
O 2.246 4.339 4.339
O 4.339 6.432 4.339
O 4.339 4.339 6.432
```

Top 10 peaks for 15 to 90 degrees two-theta, most intense first:
- d 3.068, I = 100
- d 1.771, I = 41
- d 2.169, I = 29
- d 1.160, I = 22
- d 1.534, I = 18
- d 1.372, I = 18
- d 1.252, I = 6
- d 4.339, I = 3
- d 1.940, I = 1
- d 5.010, I = 1



Starting from a structure optimized by DFT (GGA-PBE), the PXRD pattern of TiAl3 was calculated for Cu Ka.
Lines closer than 0.1° are merged.

Cell and atoms:
```
4
Lattice="2.840 0.000 0.000 0.000 4.681 0.000 0.000 0.000 4.901" Properties=species:S:1:pos:R:3 pbc="T T T"
Ti 0.000 0.000 0.000
Al 0.000 2.341 3.283
Al 1.420 0.000 2.457
Al 1.420 2.341 0.809
```

Top 10 peaks for 15 to 90 degrees two-theta, most intense first:
- d 2.174, I = 100
- d 2.341, I = 28
- d 1.317, I = 18
- d 2.457, I = 17
- d 1.694, I = 16
- d 1.212, I = 12
- d 1.416, I = 10
- d 1.188, I = 9
- d 2.450, I = 9
- d 1.214, I = 6



Starting from a structure optimized by DFT (GGA-PBE), the PXRD pattern of Nd3Co was calculated for Cu Ka.
Lines closer than 0.1° are merged.

Cell and atoms:
```
16
Lattice="7.093 0.000 0.000 0.000 9.875 0.000 0.000 0.000 6.402" Properties=species:S:1:pos:R:3 pbc="T T T"
Nd 0.279 2.469 0.905
Nd 1.183 0.694 4.330
Nd 1.183 4.244 4.330
Nd 2.364 5.631 1.128
Nd 2.364 9.182 1.128
Nd 3.267 7.406 4.107
Nd 3.825 2.469 2.296
Nd 4.729 0.694 5.274
Nd 4.729 4.244 5.274
Nd 5.910 5.631 2.073
Nd 5.910 9.182 2.073
Nd 6.814 7.406 5.497
Co 0.822 7.406 2.809
Co 2.724 2.469 6.010
Co 4.369 7.406 0.393
Co 6.270 2.469 3.594
```

Top 10 peaks for 15 to 90 degrees two-theta, most intense first:
- d 2.927, I = 100
- d 2.798, I = 74
- d 2.627, I = 62
- d 1.646, I = 46
- d 2.880, I = 43
- d 2.960, I = 41
- d 2.706, I = 40
- d 2.918, I = 36
- d 1.888, I = 31
- d 2.413, I = 28



Starting from a structure optimized by DFT (GGA-PBE), the PXRD pattern of RbCaCl3 was calculated for Cu Ka.
Lines closer than 0.1° are merged.

Cell and atoms:
```
10
Lattice="3.823 2.207 6.211 -3.823 2.207 6.211 0.000 -4.415 6.211" Properties=species:S:1:pos:R:3 pbc="T T T"
Rb 0.000 0.000 0.000
Rb 0.000 0.000 9.317
Ca 0.000 0.000 4.398
Ca 0.000 0.000 13.715
Cl -3.314 0.034 8.991
Cl -0.509 -2.173 12.097
Cl 1.628 -2.887 8.991
Cl -1.628 1.527 12.097
Cl 1.686 2.853 8.991
Cl 2.137 0.646 12.097
```

Top 10 peaks for 15 to 90 degrees two-theta, most intense first:
- d 2.699, I = 100
- d 3.816, I = 98
- d 3.120, I = 57
- d 2.206, I = 56
- d 1.905, I = 29
- d 3.256, I = 25
- d 3.106, I = 23
- d 1.912, I = 23
- d 1.445, I = 22
- d 2.197, I = 13



Starting from a structure optimized by DFT (GGA-PBE), the PXRD pattern of Na4LaSi2GePO12 was calculated for Cu Ka.
Lines closer than 0.1° are merged.

Cell and atoms:
```
42
Lattice="7.862 -4.696 0.000 7.862 4.696 0.000 -4.709 0.000 7.609" Properties=species:S:1:pos:R:3 pbc="T T T"
Na 5.507 4.092 3.804
Na 1.902 1.050 4.796
Na 4.801 2.416 6.722
Na 4.257 -1.050 0.992
Na 8.703 0.691 2.041
Na 6.349 -0.691 5.845
Na 7.156 -2.416 2.918
Na 7.862 -4.092 0.000
La 6.247 2.381 0.278
La 3.892 -2.381 4.083
Si -1.241 0.797 6.372
Si 1.114 -0.797 2.568
Si 12.189 0.496 0.804
Si 9.835 -0.496 4.609
Ge 7.807 2.366 5.579
Ge 10.162 -2.366 1.775
P 5.305 1.096 3.430
P 2.950 -1.096 7.234
O 2.232 3.134 5.793
O 2.705 1.232 0.251
O 1.186 0.897 2.563
O 0.251 1.348 6.358
O 3.884 1.679 3.007
O 8.265 3.322 1.227
O -1.169 -0.897 6.368
O 0.351 -1.232 4.055
O 5.803 1.936 4.667
O 6.317 1.234 2.300
O 2.606 -1.348 2.554
O 2.916 0.394 7.589
O 5.270 -0.394 3.785
O 1.529 -1.679 6.811
O 7.010 1.297 6.987
O 3.962 -1.234 6.104
O 8.629 0.708 4.855
O 4.586 -3.134 1.989
O 8.158 -1.936 0.862
O 10.984 -0.708 1.050
O 9.365 -1.297 3.182
O 11.275 0.169 4.405
O 13.630 -0.169 0.601
O 5.910 -3.322 5.031
```

Top 10 peaks for 15 to 90 degrees two-theta, most intense first:
- d 2.719, I = 100
- d 4.568, I = 83
- d 2.927, I = 80
- d 4.738, I = 72
- d 2.873, I = 67
- d 2.839, I = 64
- d 4.468, I = 47
- d 2.744, I = 46
- d 4.696, I = 40
- d 1.956, I = 32



Starting from a structure optimized by DFT (GGA-PBE), the PXRD pattern of KAuC2N2Cl2O was calculated for Cu Ka.
Lines closer than 0.1° are merged.

Cell and atoms:
```
18
Lattice="8.705 -4.065 0.000 8.705 4.065 0.000 -1.516 0.000 6.109" Properties=species:S:1:pos:R:3 pbc="T T T"
K 7.568 2.631 4.582
K 8.326 -2.631 1.527
Au 4.352 2.032 0.000
Au 3.594 -2.032 3.055
C 5.841 2.690 1.168
C 10.811 2.690 1.887
C 5.083 -2.690 4.222
C 10.053 -2.690 4.942
N 6.687 3.089 1.867
N 9.965 3.089 1.187
N 5.929 -3.089 4.922
N 9.206 -3.089 4.242
Cl 4.433 1.201 4.642
Cl 5.191 -1.201 1.587
Cl 10.702 1.201 4.522
Cl 11.460 -1.201 1.468
O 8.705 0.000 0.000
O 7.947 0.000 3.055
```

Top 10 peaks for 15 to 90 degrees two-theta, most intense first:
- d 4.468, I = 100
- d 4.953, I = 62
- d 4.101, I = 59
- d 3.663, I = 47
- d 3.382, I = 43
- d 4.065, I = 40
- d 2.558, I = 35
- d 2.353, I = 33
- d 4.224, I = 31
- d 1.911, I = 28



Starting from a structure optimized by DFT (GGA-PBE), the PXRD pattern of Mg7Si4 was calculated for Cu Ka.
Lines closer than 0.1° are merged.

Cell and atoms:
```
22
Lattice="5.144 0.000 0.000 -0.998 5.962 0.000 -0.164 -3.067 14.264" Properties=species:S:1:pos:R:3 pbc="T T T"
Mg 0.000 0.000 0.000
Mg -0.595 -0.143 13.742
Mg 0.032 3.503 9.363
Mg 1.126 -0.347 6.148
Mg 0.784 2.691 6.441
Mg 2.141 -1.942 12.675
Mg 2.010 2.431 1.316
Mg 1.673 5.434 1.613
Mg 1.997 1.076 12.830
Mg 2.523 2.255 10.176
Mg 3.751 -1.423 7.852
Mg 3.680 0.341 4.427
Mg 3.392 1.492 7.408
Mg 3.370 3.363 4.730
Si -0.464 1.972 11.774
Si 0.204 -0.220 10.862
Si 0.793 0.748 8.603
Si 1.168 1.643 3.920
Si 0.804 4.151 3.939
Si 2.912 -0.667 10.442
Si 4.568 1.647 2.090
Si 4.209 4.093 2.086
```

Top 10 peaks for 15 to 90 degrees two-theta, most intense first:
- d 2.475, I = 100
- d 2.537, I = 80
- d 2.519, I = 73
- d 2.379, I = 53
- d 2.114, I = 52
- d 2.295, I = 51
- d 2.716, I = 30
- d 2.043, I = 25
- d 2.169, I = 22
- d 2.853, I = 18



Starting from a structure optimized by DFT (GGA-PBE), the PXRD pattern of ThAlCo was calculated for Cu Ka.
Lines closer than 0.1° are merged.

Cell and atoms:
```
9
Lattice="3.472 0.000 0.000 0.000 4.926 5.440 0.000 -4.926 5.440" Properties=species:S:1:pos:R:3 pbc="T T T"
Th 0.000 0.000 0.000
Th 1.736 -1.823 5.379
Th 1.736 1.823 5.379
Al 1.736 -1.295 2.383
Al 1.736 1.295 2.383
Al 1.736 0.000 8.224
Co 0.000 -1.945 8.020
Co 0.000 0.000 6.388
Co 0.000 1.945 8.020
```

Top 10 peaks for 15 to 90 degrees two-theta, most intense first:
- d 3.140, I = 100
- d 2.516, I = 87
- d 5.440, I = 75
- d 2.432, I = 70
- d 2.720, I = 39
- d 1.813, I = 34
- d 2.838, I = 29
- d 1.405, I = 21
- d 1.693, I = 20
- d 1.549, I = 18



Starting from a structure optimized by DFT (GGA-PBE), the PXRD pattern of Tm4CdPd was calculated for Cu Ka.
Lines closer than 0.1° are merged.

Cell and atoms:
```
24
Lattice="0.000 6.762 6.762 6.762 0.000 6.762 6.762 6.762 0.000" Properties=species:S:1:pos:R:3 pbc="T T T"
Tm 6.762 6.762 2.482
Tm 6.762 2.482 6.762
Tm 11.042 6.762 6.762
Tm 5.346 5.346 5.346
Tm 8.179 8.179 5.346
Tm 8.179 5.346 8.179
Tm 10.143 10.143 7.593
Tm 10.143 7.593 10.143
Tm 12.693 10.143 10.143
Tm 5.346 8.179 8.179
Tm 2.482 6.762 6.762
Tm 6.762 11.042 6.762
Tm 6.762 6.762 11.042
Tm 7.593 10.143 10.143
Tm 10.143 12.693 10.143
Tm 10.143 10.143 12.693
Cd 2.257 2.257 2.257
Cd 4.505 4.505 2.257
Cd 4.505 2.257 4.505
Cd 2.257 4.505 4.505
Pd 8.182 5.342 5.342
Pd 5.342 8.182 5.342
Pd 5.342 5.342 8.182
Pd 8.182 8.182 8.182
```

Top 10 peaks for 15 to 90 degrees two-theta, most intense first:
- d 2.603, I = 100
- d 2.761, I = 48
- d 1.594, I = 44
- d 2.391, I = 30
- d 3.103, I = 26
- d 1.359, I = 16
- d 1.562, I = 13
- d 1.097, I = 13
- d 1.115, I = 12
- d 1.652, I = 9